Diffraction record for CeTh2CoC2. The X-ray powder pattern is calculated, not measured: it uses a crystal structure in Alexandria, relaxed with GGA-PBE and Cu Kα, 1.54184 Å.
Peak positions follow from Bragg's law for the DFT cell and can differ from measured ones.

Cell and atoms:
a b c (Å): 5.7810 11.0369 3.7077
angles (deg): 90.00 90.00 90.00
Space group Pnnm (No. 58)
Asymmetric unit:
Ce  0.0000  0.0000  0.0000 (multiplicity 2)
Th  0.0097  0.3002  0.5000 (multiplicity 4)
Co  0.0000  0.5000  0.0000 (multiplicity 2)
C  0.2369  0.8888  0.5000 (multiplicity 4)

Largest 6 diffraction maxima, in order of rising 2θ, 2θ from 10° to 90°:
2θ 28.76, I 43, hkl 1 3 0; 2θ 30.94, I 36, hkl 2 0 0; 2θ 32.97, I 100, hkl 1 2 1; 2θ 47.96, I 17, hkl 0 5 1; 2θ 56.33, I 22, hkl 3 2 1; 2θ 58.18, I 17, hkl 2 5 1